No. 1
Starting from a structure optimized by DFT (GGA-PBE), the powder diffractogram of ErAl3CuAg was simulated for CuKα.
Intensities are scaled so that the largest is 100.

Cell and atoms:
```
ErAl3CuAg
1.0
2.9941 -6.2612 0.0000
2.9941 6.2612 0.0000
0.0000 0.0000 5.9408
Er Al Cu Ag
2 6 2 2
direct
0.2060 0.7940 0.7500
0.7940 0.2060 0.2500
0.2160 0.2160 0.0000
0.2160 0.2160 0.5000
0.3666 0.6334 0.2500
0.6334 0.3666 0.7500
0.7840 0.7840 0.0000
0.7840 0.7840 0.5000
0.4206 0.5794 0.7500
0.5794 0.4206 0.2500
0.1571 0.8429 0.2500
0.8429 0.1571 0.7500
```

Most intense lines, 10° ≤ 2θ ≤ 90°, sorted by position:
d 3.424, intensity 89; d 2.994, intensity 80; d 2.970, intensity 94; d 2.244, intensity 70; d 2.154, intensity 58; d 2.109, intensity 100



No. 2
Starting from a structure optimized by DFT (GGA-PBE), the powder diffractogram of GdAlCuAg was simulated for CuKα.
Intensities are scaled so that the largest is 100.

Cell and atoms:
```
GdAlCuAg
1.0
0.0000 3.3624 3.3624
3.3624 0.0000 3.3624
3.3624 3.3624 0.0000
Gd Al Cu Ag
1 1 1 1
direct
0.0000 0.0000 0.0000
0.5000 0.5000 0.5000
0.2500 0.2500 0.2500
0.7500 0.7500 0.7500
```

Most intense lines, 10° ≤ 2θ ≤ 90°, sorted by position:
d 3.883, intensity 33; d 2.378, intensity 100; d 2.028, intensity 17; d 1.681, intensity 17; d 1.373, intensity 33; d 1.189, intensity 10



No. 3
Starting from a structure optimized by DFT (GGA-PBE), the powder diffractogram of LaAl8CuAg2 was simulated for CuKα.
Intensities are scaled so that the largest is 100.

Cell and atoms:
```
LaAl8CuAg2
1.0
4.2463 -2.6142 0.0000
4.2463 2.6142 0.0000
-0.2868 0.0000 10.3616
La Al Cu Ag
1 8 1 2
direct
0.0000 0.0000 0.0000
0.1997 0.7050 0.6931
0.2950 0.8003 0.3069
0.3171 0.3171 0.1654
0.3172 0.3172 0.4707
0.6828 0.6828 0.5293
0.6829 0.6829 0.8346
0.7050 0.1997 0.6931
0.8003 0.2950 0.3069
0.0000 0.0000 0.5000
0.3221 0.3221 0.8799
0.6779 0.6779 0.1201
```

Most intense lines, 10° ≤ 2θ ≤ 90°, sorted by position:
d 3.353, intensity 100; d 2.713, intensity 70; d 2.614, intensity 36; d 2.489, intensity 94; d 2.224, intensity 50; d 2.056, intensity 37



No. 4
Starting from a structure optimized by DFT (GGA-PBE), the powder diffractogram of La2Al4Cu3Ag was simulated for CuKα.
Intensities are scaled so that the largest is 100.

Cell and atoms:
```
La2Al4Cu3Ag
1.0
4.3501 0.0000 0.0000
0.0000 4.3501 0.0000
0.0000 0.0000 10.3431
La Al Cu Ag
2 4 3 1
direct
0.0000 0.5000 0.2481
0.5000 0.0000 0.7519
0.0000 0.0000 0.0000
0.0000 0.5000 0.6365
0.5000 0.0000 0.3635
0.5000 0.5000 0.0000
0.0000 0.5000 0.8747
0.5000 0.0000 0.1253
0.5000 0.5000 0.5000
0.0000 0.0000 0.5000
```

Most intense lines, 10° ≤ 2θ ≤ 90°, sorted by position:
d 2.702, intensity 64; d 2.644, intensity 100; d 2.175, intensity 52; d 1.868, intensity 24; d 1.694, intensity 31; d 1.329, intensity 22



No. 5
Starting from a structure optimized by DFT (GGA-PBE), the powder diffractogram of Li2Al2Cu2Ag was simulated for CuKα.
Intensities are scaled so that the largest is 100.

Cell and atoms:
```
Li2Al2Cu2Ag
1.0
4.6602 -2.1246 0.0000
4.6602 2.1246 0.0000
-0.4036 0.0000 5.0520
Li Al Cu Ag
2 2 2 1
direct
0.0802 0.0802 0.3005
0.9198 0.9198 0.6995
0.2163 0.2163 0.8282
0.7837 0.7837 0.1718
0.3570 0.3570 0.4287
0.6430 0.6430 0.5713
0.5000 0.5000 0.0000
```

Most intense lines, 10° ≤ 2θ ≤ 90°, sorted by position:
d 3.864, intensity 100; d 3.291, intensity 36; d 2.300, intensity 37; d 2.187, intensity 66; d 2.177, intensity 32; d 2.147, intensity 61



No. 6
Starting from a structure optimized by DFT (GGA-PBE), the powder diffractogram of AlCuTcAg2 was simulated for CuKα.
Intensities are scaled so that the largest is 100.

Cell and atoms:
```
AlCuTcAg2
1.0
4.6907 0.0000 0.0000
0.0000 4.6907 0.0000
0.0000 0.0000 4.4606
Al Cu Tc Ag
1 1 1 2
direct
0.0000 0.0000 0.0000
0.0000 0.0000 0.5000
0.5000 0.5000 0.0000
0.0000 0.5000 0.5000
0.5000 0.0000 0.5000
```

Most intense lines, 10° ≤ 2θ ≤ 90°, sorted by position:
d 4.461, intensity 32; d 3.232, intensity 43; d 2.662, intensity 100; d 2.345, intensity 77; d 2.230, intensity 33; d 1.616, intensity 46



No. 7
Starting from a structure optimized by DFT (GGA-PBE), the powder diffractogram of Al2CuAgTe4 was simulated for CuKα.
Intensities are scaled so that the largest is 100.

Cell and atoms:
```
Al2CuAgTe4
1.0
0.0000 4.3487 6.2856
4.3476 0.0000 6.2856
4.3476 4.3487 0.0000
Al Cu Ag Te
2 1 1 4
direct
0.0000 0.0000 0.5000
0.5000 0.5000 0.0000
0.2504 0.2504 0.7496
0.7495 0.7495 0.2505
0.1381 0.6127 0.8619
0.3613 0.8879 0.1121
0.6127 0.1381 0.3873
0.8879 0.3613 0.6387
```

Most intense lines, 10° ≤ 2θ ≤ 90°, sorted by position:
d 3.576, intensity 100; d 2.198, intensity 46; d 2.174, intensity 22; d 1.888, intensity 16; d 1.858, intensity 30; d 1.260, intensity 14



No. 8
Starting from a structure optimized by DFT (GGA-PBE), the powder diffractogram of AlCuAg2Te4 was simulated for CuKα.
Intensities are scaled so that the largest is 100.

Cell and atoms:
```
AlCuAg2Te4
1.0
-3.1316 3.1316 6.1234
3.1316 -3.1316 6.1234
3.1316 3.1316 -6.1234
Al Cu Ag Te
1 1 2 4
direct
0.0000 0.0000 0.0000
0.7500 0.2500 0.5000
0.2500 0.7500 0.5000
0.5000 0.5000 0.0000
0.1002 0.6165 0.9720
0.3835 0.3554 0.4836
0.6446 0.1282 0.0280
0.8718 0.8998 0.5164
```

Most intense lines, 10° ≤ 2θ ≤ 90°, sorted by position:
d 3.589, intensity 100; d 2.214, intensity 24; d 2.189, intensity 48; d 1.884, intensity 30; d 1.854, intensity 15; d 1.274, intensity 15